# 1
Theoretical powder diffractogram
Compound: LuB2C
Radiation: Cu Kα (weighted mean of Kα1 and Kα2)
Structure: a crystal structure in Alexandria, relaxed with PBE

Crystal structure
Cell lengths 6.6930, 6.6930, 3.6913 Å; angles 90.00, 90.00, 90.00 degrees
Atoms (fractional coordinates):
Lu1 0.1985 0.3015 0.0000
Lu2 0.3015 0.8015 0.0000
Lu3 0.6985 0.1985 0.0000
Lu4 0.8015 0.6985 0.0000
B1 0.0316 0.8188 0.5000
B2 0.1812 0.0316 0.5000
B3 0.3188 0.5316 0.5000
B4 0.4684 0.3188 0.5000
B5 0.5316 0.6812 0.5000
B6 0.6812 0.4684 0.5000
B7 0.8188 0.9684 0.5000
B8 0.9684 0.1812 0.5000
C1 0.0835 0.5835 0.5000
C2 0.4165 0.0835 0.5000
C3 0.5835 0.9165 0.5000
C4 0.9165 0.4165 0.5000

The 10 most intense peaks (2θ = 10–80°), by intensity:
d (Å)	two_theta	intensity
2.479	36.23	100
3.346	26.64	88
2.325	38.73	87
3.691	24.11	67
2.993	29.85	67
1.486	62.50	44
1.623	56.71	37
1.992	45.53	34
1.219	78.46	29
1.616	56.98	23

***

# 2
Theoretical powder diffractogram
Compound: Mg14BC
Radiation: Cu Kα (weighted mean of Kα1 and Kα2)
Structure: a crystal structure in Alexandria, relaxed with PBE

Crystal structure
Cell lengths 9.6957, 6.2863, 6.2863 Å; angles 60.89, 90.00, 90.00 degrees
Atoms (fractional coordinates):
Mg1 0.0000 0.0000 0.0000
Mg2 0.0000 0.0013 0.5181
Mg3 0.0000 0.4964 0.4964
Mg4 0.0000 0.5181 0.0013
Mg5 0.2409 0.1796 0.1796
Mg6 0.2567 0.6657 0.6657
Mg7 0.3423 0.1686 0.6858
Mg8 0.3423 0.6858 0.1686
Mg9 0.5000 0.4054 0.9400
Mg10 0.5000 0.9400 0.4054
Mg11 0.6577 0.1686 0.6858
Mg12 0.6577 0.6858 0.1686
Mg13 0.7433 0.6657 0.6657
Mg14 0.7591 0.1796 0.1796
B1 0.5000 0.5233 0.5233
C1 0.5000 0.0142 0.0142

The 10 most intense peaks (2θ = 10–80°), by intensity:
d (Å)	two_theta	intensity
2.389	37.65	100
2.776	32.25	25
2.710	33.06	24
2.213	40.78	23
2.610	34.36	21
2.365	38.04	21
2.746	32.61	19
1.571	58.76	17
1.413	66.12	15
2.642	33.93	15

***

# 3
Theoretical powder diffractogram
Compound: MgB2C2
Radiation: Cu Kα (weighted mean of Kα1 and Kα2)
Structure: a crystal structure in Alexandria, relaxed with PBE

Crystal structure
Cell lengths 7.2290, 7.2290, 7.4601 Å; angles 90.00, 90.00, 81.82 degrees
Atoms (fractional coordinates):
Mg1 0.1521 0.1521 0.5000
Mg2 0.2213 0.7787 0.9896
Mg3 0.2787 0.7213 0.4896
Mg4 0.3479 0.3479 0.0000
Mg5 0.6521 0.6521 0.0000
Mg6 0.7213 0.2787 0.5104
Mg7 0.7787 0.2213 0.0104
Mg8 0.8479 0.8479 0.5000
B1 0.0318 0.7129 0.2452
B2 0.0882 0.9118 0.7246
B3 0.1563 0.3437 0.2500
B4 0.2129 0.5318 0.7452
B5 0.2871 0.9682 0.2452
B6 0.3437 0.1563 0.7500
B7 0.4118 0.5882 0.2246
B8 0.4682 0.7871 0.7452
B9 0.5318 0.2129 0.2548
B10 0.5882 0.4118 0.7754
B11 0.6563 0.8437 0.2500
B12 0.7129 0.0318 0.7548
B13 0.7871 0.4682 0.2548
B14 0.8437 0.6563 0.7500
B15 0.9118 0.0882 0.2754
B16 0.9682 0.2871 0.7548
C1 0.0498 0.7010 0.7249
C2 0.0795 0.9205 0.2691
C3 0.1764 0.3236 0.7500
C4 0.2010 0.5498 0.2249
C5 0.2990 0.9502 0.7249
C6 0.3236 0.1764 0.2500
C7 0.4205 0.5795 0.7691
C8 0.4502 0.7990 0.2249
C9 0.5498 0.2010 0.7751
C10 0.5795 0.4205 0.2309
C11 0.6764 0.8236 0.7500
C12 0.7010 0.0498 0.2751
C13 0.7990 0.4502 0.7751
C14 0.8236 0.6764 0.2500
C15 0.9205 0.0795 0.7309
C16 0.9502 0.2990 0.2751

The 10 most intense peaks (2θ = 10–80°), by intensity:
d (Å)	two_theta	intensity
1.998	45.39	100
3.578	24.89	33
3.093	28.86	32
5.164	17.17	31
1.865	48.83	27
2.582	34.74	26
2.809	31.86	21
1.366	68.70	20
1.638	56.14	20
3.730	23.86	17

***

# 4
Theoretical powder diffractogram
Compound: MgB2C2
Radiation: Cu Kα (weighted mean of Kα1 and Kα2)
Structure: a crystal structure in Alexandria, relaxed with PBE

Crystal structure
Cell lengths 4.6418, 7.2676, 2.7756 Å; angles 90.00, 90.00, 90.00 degrees
Atoms (fractional coordinates):
Mg1 0.0000 0.0000 0.0000
Mg2 0.5000 0.5000 0.5000
B1 0.1217 0.2690 0.5000
B2 0.3783 0.7690 0.0000
B3 0.6217 0.2310 0.0000
B4 0.8783 0.7310 0.5000
C1 0.2100 0.7778 0.5000
C2 0.2900 0.2778 0.0000
C3 0.7100 0.7222 0.0000
C4 0.7900 0.2222 0.5000

The 10 most intense peaks (2θ = 10–80°), by intensity:
d (Å)	two_theta	intensity
3.912	22.73	100
1.992	45.53	75
1.956	46.42	36
2.593	34.59	30
1.729	52.95	24
1.817	50.21	23
2.148	42.07	21
1.825	49.97	15
3.634	24.50	14
1.388	67.50	14

***

# 5
Theoretical powder diffractogram
Compound: Mg2B24C
Radiation: Cu Kα (weighted mean of Kα1 and Kα2)
Structure: a crystal structure in Alexandria, relaxed with PBE

Crystal structure
Cell lengths 8.9680, 8.9680, 5.0880 Å; angles 90.00, 90.00, 90.00 degrees
Atoms (fractional coordinates):
Mg1 0.0000 0.0000 0.0000
Mg2 0.0000 0.5000 0.2500
Mg3 0.5000 0.0000 0.7500
Mg4 0.5000 0.5000 0.5000
B1 0.0777 0.2410 0.9154
B2 0.0796 0.3253 0.5986
B3 0.0929 0.7691 0.0875
B4 0.0984 0.6942 0.4171
B5 0.1158 0.1284 0.6244
B6 0.1284 0.8842 0.3756
B7 0.1747 0.4204 0.9014
B8 0.1942 0.5984 0.0829
B9 0.2309 0.0929 0.9125
B10 0.2352 0.2515 0.4151
B11 0.2410 0.9223 0.0846
B12 0.2485 0.2648 0.0849
B13 0.2515 0.7648 0.5849
B14 0.2590 0.4223 0.5846
B15 0.2648 0.7515 0.9151
B16 0.2691 0.5929 0.4125
B17 0.3058 0.0984 0.5829
B18 0.3253 0.9204 0.4014
B19 0.3716 0.3842 0.8756
B20 0.3842 0.6284 0.1244
B21 0.4016 0.1942 0.9171
B22 0.4071 0.2691 0.5875
B23 0.4204 0.8253 0.0986
B24 0.4223 0.7410 0.4154
B25 0.5777 0.2590 0.4154
B26 0.5796 0.1747 0.0986
B27 0.5929 0.7309 0.5875
B28 0.5984 0.8058 0.9171
B29 0.6158 0.3716 0.1244
B30 0.6284 0.6158 0.8756
B31 0.6747 0.0796 0.4014
B32 0.6942 0.9016 0.5829
B33 0.7309 0.4071 0.4125
B34 0.7352 0.2485 0.9151
B35 0.7410 0.5777 0.5846
B36 0.7485 0.2352 0.5849
B37 0.7515 0.7352 0.0849
B38 0.7590 0.0777 0.0846
B39 0.7648 0.7485 0.4151
B40 0.7691 0.9071 0.9125
B41 0.8058 0.4016 0.0829
B42 0.8253 0.5796 0.9014
B43 0.8716 0.1158 0.3756
B44 0.8842 0.8716 0.6244
B45 0.9016 0.3058 0.4171
B46 0.9071 0.2309 0.0875
B47 0.9204 0.6747 0.5986
B48 0.9223 0.7590 0.9154
C1 0.0000 0.0000 0.5000
C2 0.5000 0.5000 0.0000

The 10 most intense peaks (2θ = 10–80°), by intensity:
d (Å)	two_theta	intensity
2.477	36.26	100
3.969	22.40	88
1.894	48.04	86
3.150	28.33	67
2.000	45.35	65
1.418	65.88	61
2.361	38.11	59
2.005	45.22	57
4.425	20.06	56
3.171	28.14	43

***

# 6
Theoretical powder diffractogram
Compound: Mg2BC
Radiation: Cu Kα (weighted mean of Kα1 and Kα2)
Structure: a crystal structure in Alexandria, relaxed with PBE

Crystal structure
Cell lengths 5.0317, 2.8874, 6.6982 Å; angles 90.00, 104.91, 90.00 degrees
Atoms (fractional coordinates):
Mg1 0.0000 0.0000 0.0000
Mg2 0.1975 0.0000 0.5921
Mg3 0.5000 0.5000 0.0000
Mg4 0.6975 0.5000 0.5921
B1 0.2677 0.5000 0.2975
B2 0.7677 0.0000 0.2975
C1 0.4341 0.0000 0.2940
C2 0.9341 0.5000 0.2940

The 10 most intense peaks (2θ = 10–80°), by intensity:
d (Å)	two_theta	intensity
2.107	42.93	100
2.222	40.59	53
2.483	36.18	32
2.158	41.87	32
2.240	40.26	27
1.450	64.22	23
1.444	64.52	18
2.497	35.96	17
3.236	27.56	16
1.200	79.94	16

***

# 7
Theoretical powder diffractogram
Compound: MgB3C3
Radiation: Cu Kα (weighted mean of Kα1 and Kα2)
Structure: a crystal structure in Alexandria, relaxed with PBE

Crystal structure
Cell lengths 4.6913, 4.6913, 3.7463 Å; angles 90.00, 90.00, 120.00 degrees
Atoms (fractional coordinates):
Mg1 0.0000 0.0000 0.0000
B1 0.0000 0.6605 0.5000
B2 0.3395 0.3395 0.5000
B3 0.6605 0.0000 0.5000
C1 0.0000 0.3290 0.5000
C2 0.3290 0.0000 0.5000
C3 0.6710 0.6710 0.5000

The 10 most intense peaks (2θ = 10–80°), by intensity:
d (Å)	two_theta	intensity
1.988	45.63	100
4.063	21.88	96
2.754	32.51	68
3.746	23.75	58
1.873	48.61	29
1.354	69.40	25
1.786	51.15	18
1.421	65.72	16
1.701	53.90	15
2.031	44.61	14

***

# 8
Theoretical powder diffractogram
Compound: Mn23B3C3
Radiation: Cu Kα (weighted mean of Kα1 and Kα2)
Structure: a crystal structure in Alexandria, relaxed with PBE

Crystal structure
Cell lengths 7.3918, 7.3918, 7.3918 Å; angles 60.00, 60.00, 60.00 degrees
Atoms (fractional coordinates):
Mn1 0.0000 0.0000 0.0000
Mn2 0.0328 0.3771 0.3771
Mn3 0.0372 0.3851 0.7173
Mn4 0.0372 0.7173 0.3851
Mn5 0.1308 0.1308 0.1308
Mn6 0.2376 0.7581 0.7581
Mn7 0.3712 0.3712 0.3712
Mn8 0.3771 0.0328 0.3771
Mn9 0.3771 0.3771 0.0328
Mn10 0.3774 0.3774 0.7130
Mn11 0.3774 0.7130 0.3774
Mn12 0.3851 0.0372 0.7173
Mn13 0.3851 0.7173 0.0372
Mn14 0.5237 0.9960 0.9960
Mn15 0.6303 0.6303 0.6303
Mn16 0.7130 0.3774 0.3774
Mn17 0.7173 0.0372 0.3851
Mn18 0.7173 0.3851 0.0372
Mn19 0.7581 0.2376 0.7581
Mn20 0.7581 0.7581 0.2376
Mn21 0.7613 0.7613 0.7613
Mn22 0.9960 0.5237 0.9960
Mn23 0.9960 0.9960 0.5237
B1 0.1065 0.1065 0.6530
B2 0.1065 0.6530 0.1065
B3 0.6530 0.1065 0.1065
C1 0.1032 0.6563 0.6563
C2 0.6563 0.1032 0.6563
C3 0.6563 0.6563 0.1032

The 10 most intense peaks (2θ = 10–80°), by intensity:
d (Å)	two_theta	intensity
2.012	45.06	100
2.134	42.36	28
1.767	51.74	27
2.337	38.51	22
1.848	49.31	22
1.232	77.48	20
1.742	52.53	13
1.207	79.39	12
1.576	58.57	7
1.268	74.91	6

***

# 9
Theoretical powder diffractogram
Compound: Mn23B2C4
Radiation: Cu Kα (weighted mean of Kα1 and Kα2)
Structure: a crystal structure in Alexandria, relaxed with PBE

Crystal structure
Cell lengths 7.3827, 7.3827, 7.3827 Å; angles 120.16, 89.74, 120.14 degrees
Atoms (fractional coordinates):
Mn1 0.0000 0.0000 0.0000
Mn2 0.0336 0.4130 0.6206
Mn3 0.0343 0.4166 0.1448
Mn4 0.0343 0.8894 0.6177
Mn5 0.2693 0.8864 0.3828
Mn6 0.2718 0.4166 0.3823
Mn7 0.2718 0.8894 0.8552
Mn8 0.3175 0.3167 0.6633
Mn9 0.3175 0.6542 0.0008
Mn10 0.3188 0.3188 0.0000
Mn11 0.3982 0.1482 0.2499
Mn12 0.5036 0.8864 0.6172
Mn13 0.6461 0.3058 0.6597
Mn14 0.6461 0.9865 0.3403
Mn15 0.6476 0.6544 0.6592
Mn16 0.6476 0.9885 0.9933
Mn17 0.6533 0.3167 0.9992
Mn18 0.6533 0.6542 0.3367
Mn19 0.6678 0.6678 0.0000
Mn20 0.7924 0.4130 0.3794
Mn21 0.8983 0.1482 0.7501
Mn22 0.9952 0.6544 0.0067
Mn23 0.9952 0.9885 0.3408
B1 0.9216 0.1938 0.2723
B2 0.9216 0.6493 0.7277
C1 0.3718 0.6491 0.7227
C2 0.3737 0.0981 0.7244
C3 0.3737 0.6493 0.2756
C4 0.9264 0.6491 0.2773

The 10 most intense peaks (2θ = 10–80°), by intensity:
d (Å)	two_theta	intensity
2.007	45.18	100
2.130	42.43	22
1.762	51.89	21
1.846	49.38	18
2.330	38.64	18
2.013	45.03	17
1.230	77.59	12
2.128	42.48	11
1.766	51.75	11
1.228	77.79	10

***

# 10
Theoretical powder diffractogram
Compound: TbMn2BC
Radiation: Cu Kα (weighted mean of Kα1 and Kα2)
Structure: a crystal structure in Alexandria, relaxed with PBE

Crystal structure
Cell lengths 5.2436, 5.2436, 6.7200 Å; angles 90.00, 90.00, 140.38 degrees
Atoms (fractional coordinates):
Tb1 0.0399 0.9601 0.7500
Tb2 0.9601 0.0399 0.2500
Mn1 0.3167 0.6833 0.5604
Mn2 0.3167 0.6833 0.9396
Mn3 0.6833 0.3167 0.0604
Mn4 0.6833 0.3167 0.4396
B1 0.2351 0.7649 0.2500
B2 0.7649 0.2351 0.7500
C1 0.5000 0.5000 0.0000
C2 0.5000 0.5000 0.5000

The 10 most intense peaks (2θ = 10–80°), by intensity:
d (Å)	two_theta	intensity
2.370	37.96	100
2.777	32.23	61
2.414	37.25	60
2.316	38.89	38
3.344	26.66	29
2.272	39.67	24
2.994	29.85	23
1.777	51.42	21
1.642	56.00	19
1.497	62.00	19